(1)
Starting from a PBE-relaxed structure, the powder diffraction line list of YAl3CuPt was computed for a wavelength of 1.5418 Å.

The 12 most intense peaks (10° ≤ 2θ ≤ 90°), by angle:
d 5.559, intensity 28
d 4.177, intensity 86
d 3.387, intensity 81
d 3.131, intensity 80
d 2.922, intensity 26
d 2.891, intensity 62
d 2.505, intensity 47
d 2.199, intensity 64
d 2.124, intensity 89
d 2.100, intensity 100
d 1.524, intensity 36
d 1.465, intensity 40

Structure:
```
YAl3CuPt
1.0
3.131 -6.040 0.000
3.131 6.040 0.000
0.000 0.000 5.783
Y Al Cu Pt
2 6 2 2
direct
0.217 0.783 0.750 Y
0.783 0.217 0.250 Y
0.210 0.210 0.000 Al
0.210 0.210 0.500 Al
0.352 0.648 0.250 Al
0.648 0.352 0.750 Al
0.790 0.790 0.000 Al
0.790 0.790 0.500 Al
0.439 0.561 0.750 Cu
0.561 0.439 0.250 Cu
0.143 0.857 0.250 Pt
0.857 0.143 0.750 Pt
```

(2)
Starting from a PBE-relaxed structure, the powder diffraction line list of Fe3Co4 was computed for a wavelength of 1.5418 Å.

The 9 most intense peaks (10° ≤ 2θ ≤ 90°), by angle:
d 2.006, intensity 100
d 2.001, intensity 25
d 1.993, intensity 24
d 1.425, intensity 7
d 1.412, intensity 14
d 1.161, intensity 7
d 1.159, intensity 7
d 1.156, intensity 14
d 1.153, intensity 14

Structure:
```
Fe3Co4
1.0
0.000 2.001 13.950
1.425 0.000 13.950
1.425 2.001 0.000
Fe Co
3 4
direct
0.000 0.000 0.000 Fe
0.143 0.143 0.857 Fe
0.716 0.716 0.284 Fe
0.287 0.287 0.713 Co
0.429 0.429 0.571 Co
0.572 0.572 0.428 Co
0.858 0.858 0.142 Co
```

(3)
Starting from a PBE-relaxed structure, the powder diffraction line list of MgHIrPt2 was computed for a wavelength of 1.5418 Å.

The 12 most intense peaks (10° ≤ 2θ ≤ 90°), by angle:
d 4.033, intensity 16
d 3.955, intensity 8
d 2.851, intensity 7
d 2.824, intensity 13
d 2.313, intensity 100
d 2.016, intensity 34
d 1.978, intensity 16
d 1.426, intensity 11
d 1.412, intensity 22
d 1.214, intensity 26
d 1.197, intensity 13
d 1.156, intensity 12

Structure:
```
MgHIrPt2
1.0
4.033 0.000 0.000
0.000 4.033 0.000
0.000 0.000 3.955
Mg H Ir Pt
1 1 1 2
direct
0.000 0.000 0.000 Mg
0.500 0.500 0.500 H
0.500 0.500 0.000 Ir
0.000 0.500 0.500 Pt
0.500 0.000 0.500 Pt
```